Starting from a cell relaxed with GGA+U, the powder XRD pattern of Li2VOF3 was computed for a wavelength of 1.5418 Å.
Kinematic intensities with the Lorentz-polarization factor, no thermal factor.

Principal peaks in the range 2θ = 10–90°, low angle first:
- (1 0 0), 2θ 14.76, I = 42
- (1 0 1), 2θ 18.05, I = 100
- (1 1 1), 2θ 23.40, I = 68
- (1 0 2), 2θ 25.56, I = 29
- (2 1 1), 2θ 35.04, I = 32
- (0 0 4), 2θ 42.22, I = 39
- (2 2 0), 2θ 42.61, I = 78
- (2 2 4), 2θ 61.54, I = 46

Atomic structure:
```
data_Li2VOF3
_chemical_formula_sum 'Li8 V4 O4 F12'
_cell_length_a 6.002
_cell_length_b 6.002
_cell_length_c 8.562
_cell_angle_alpha 90.00
_cell_angle_beta 90.00
_cell_angle_gamma 90.00
_symmetry_space_group_name_H-M 'P 1'
_symmetry_Int_Tables_number 1
_symmetry_space_group_name_Hall 'P 1'
loop_
_atom_site_label
_atom_site_fract_x
_atom_site_fract_y
_atom_site_fract_z
Li1 0.009 0.238 0.000
Li2 0.238 0.991 0.750
Li3 0.242 0.738 0.114
Li4 0.262 0.242 0.364
Li5 0.738 0.758 0.864
Li6 0.758 0.262 0.614
Li7 0.762 0.009 0.250
Li8 0.991 0.762 0.500
V1 0.250 0.506 0.759
V2 0.494 0.250 0.009
V3 0.506 0.750 0.509
V4 0.750 0.494 0.259
O1 0.263 0.473 0.978
O2 0.473 0.737 0.728
O3 0.527 0.263 0.228
O4 0.737 0.527 0.478
F1 0.010 0.747 0.741
F2 0.025 0.254 0.741
F3 0.247 0.511 0.510
F4 0.253 0.010 0.991
F5 0.254 0.975 0.491
F6 0.489 0.247 0.760
F7 0.511 0.753 0.260
F8 0.746 0.025 0.991
F9 0.747 0.990 0.491
F10 0.753 0.489 0.010
F11 0.975 0.746 0.241
F12 0.990 0.253 0.241
```